Starting from a GGA-PBE-relaxed structure, the XRD peak list of Cs3Ca was computed for copper Kα.
Peak positions follow from Bragg's law for the DFT cell and can differ from measured ones.

Peak list (10 most intense, 2θ = 15–90°, most intense first)
hkl, 2theta, d/Å, I (rel.)
2 0 1, 23.0, 3.860, 100
2 2 2, 42.1, 2.146, 26
0 0 2, 22.3, 3.984, 24
2 0 3, 39.6, 2.275, 24
2 2 0, 35.2, 2.547, 23
2 0 0, 20.1, 4.413, 23
4 0 1, 42.5, 2.126, 19
2 0 2, 30.2, 2.957, 17
4 2 1, 56.4, 1.633, 15
2 2 4, 58.9, 1.569, 10

Atomic structure:
a b c (Å): 10.1912 10.1912 7.9673
angles (deg): 90.00 90.00 120.00
Space group P6_3/mmc (No. 194)
Asymmetric unit:
Cs (0.1732, 0.3464, 0.2500) x6
Ca (0.3333, 0.6667, 0.7500) x2